Entry 1:
Starting from a crystal structure in Alexandria, relaxed with GGA-PBE, the powder diffractogram of Nd19Ho6Er4 was computed for Cu Kα.

Cell and atoms:
```
data_Nd19Ho6Er4
_chemical_formula_sum 'Nd38 Ho12 Er8'
_cell_length_a 12.678
_cell_length_b 12.678
_cell_length_c 12.678
_cell_angle_alpha 90.00
_cell_angle_beta 90.00
_cell_angle_gamma 90.00
_symmetry_space_group_name_H-M 'I 2 3'
_symmetry_Int_Tables_number 197
_symmetry_space_group_name_Hall 'I 2 2 3'
loop_
_atom_site_label
_atom_site_fract_x
_atom_site_fract_y
_atom_site_fract_z
Nd1 0.000 0.000 0.000
Nd2 0.000 0.000 0.260
Nd3 0.063 0.262 0.281
Ho1 0.000 0.375 0.500
Er1 0.180 0.180 0.820
```

The 12 most intense peaks (10 to 90 degrees two-theta), by angle:
2θ/deg, intensity
26.30, 49
28.15, 52
29.90, 100
33.14, 18
34.66, 38
36.13, 71
41.53, 22
48.71, 17
53.08, 25
59.21, 27
60.19, 23
70.46, 17



Entry 2:
Starting from a crystal structure in Alexandria, relaxed with GGA-PBE, the powder diffractogram of Dy4Cd5Au6 was computed for Cu Kα.

Cell and atoms:
```
data_Dy4Cd5Au6
_chemical_formula_sum 'Dy16 Cd20 Au24'
_cell_length_a 3.932
_cell_length_b 23.067
_cell_length_c 15.158
_cell_angle_alpha 90.00
_cell_angle_beta 90.00
_cell_angle_gamma 90.00
_symmetry_space_group_name_H-M 'C m c 21'
_symmetry_Int_Tables_number 36
loop_
_symmetry_equiv_pos_as_xyz
'x,y,z'
'-x,-y,z+1/2'
'-x,y,z'
'x,-y,z+1/2'
'x+1/2,y+1/2,z'
'-x+1/2,-y+1/2,z+1/2'
'-x+1/2,y+1/2,z'
'x+1/2,-y+1/2,z+1/2'
loop_
_atom_site_label
_atom_site_fract_x
_atom_site_fract_y
_atom_site_fract_z
Dy1 0.000 0.020 0.000
Dy2 0.000 0.052 0.273
Dy3 0.000 0.134 0.775
Dy4 0.000 0.179 0.434
Cd1 0.000 0.178 0.111
Cd2 0.000 0.307 0.109
Cd3 0.000 0.326 0.765
Cd4 0.000 0.360 0.456
Cd5 0.000 0.464 0.161
Au1 0.000 0.102 0.580
Au2 0.000 0.229 0.937
Au3 0.000 0.269 0.286
Au4 0.000 0.415 0.624
Au5 0.000 0.422 0.922
Au6 0.000 0.460 0.348
```

The 12 most intense peaks (10 to 90 degrees two-theta), by angle:
2θ/deg, intensity
26.13, 20
30.45, 26
32.16, 29
33.06, 34
34.85, 100
35.54, 29
36.05, 22
38.33, 26
39.52, 28
39.91, 29
42.48, 15
46.18, 36



Entry 3:
Starting from a crystal structure in Alexandria, relaxed with GGA-PBE, the powder diffractogram of Ga6Ir2Rh was computed for Cu Kα.

Cell and atoms:
```
data_Ga6Ir2Rh
_chemical_formula_sum 'Ga12 Ir4 Rh2'
_cell_length_a 5.237
_cell_length_b 6.958
_cell_length_c 9.136
_cell_angle_alpha 90.00
_cell_angle_beta 119.74
_cell_angle_gamma 90.00
_symmetry_space_group_name_H-M 'P 1 21/c 1'
_symmetry_Int_Tables_number 14
loop_
_symmetry_equiv_pos_as_xyz
'x,y,z'
'-x,-y,-z'
'-x,y+1/2,-z+1/2'
'x,-y+1/2,z+1/2'
loop_
_atom_site_label
_atom_site_fract_x
_atom_site_fract_y
_atom_site_fract_z
Ga1 0.071 0.157 0.442
Ga2 0.346 0.683 0.442
Ga3 0.404 0.018 0.292
Ir1 0.188 0.129 0.755
Rh1 0.000 0.000 0.000
```

The 12 most intense peaks (10 to 90 degrees two-theta), by angle:
2θ/deg, intensity
19.52, 25
23.37, 42
24.80, 28
28.01, 43
34.37, 41
37.59, 44
39.01, 50
39.48, 92
41.75, 79
42.66, 100
42.96, 68
45.75, 36



Repeat the second record exactly.
Starting from a crystal structure in Alexandria, relaxed with GGA-PBE, the powder diffractogram of Dy4Cd5Au6 was computed for Cu Kα.

Cell and atoms:
```
data_Dy4Cd5Au6
_chemical_formula_sum 'Dy16 Cd20 Au24'
_cell_length_a 3.932
_cell_length_b 23.067
_cell_length_c 15.158
_cell_angle_alpha 90.00
_cell_angle_beta 90.00
_cell_angle_gamma 90.00
_symmetry_space_group_name_H-M 'C m c 21'
_symmetry_Int_Tables_number 36
loop_
_symmetry_equiv_pos_as_xyz
'x,y,z'
'-x,-y,z+1/2'
'-x,y,z'
'x,-y,z+1/2'
'x+1/2,y+1/2,z'
'-x+1/2,-y+1/2,z+1/2'
'-x+1/2,y+1/2,z'
'x+1/2,-y+1/2,z+1/2'
loop_
_atom_site_label
_atom_site_fract_x
_atom_site_fract_y
_atom_site_fract_z
Dy1 0.000 0.020 0.000
Dy2 0.000 0.052 0.273
Dy3 0.000 0.134 0.775
Dy4 0.000 0.179 0.434
Cd1 0.000 0.178 0.111
Cd2 0.000 0.307 0.109
Cd3 0.000 0.326 0.765
Cd4 0.000 0.360 0.456
Cd5 0.000 0.464 0.161
Au1 0.000 0.102 0.580
Au2 0.000 0.229 0.937
Au3 0.000 0.269 0.286
Au4 0.000 0.415 0.624
Au5 0.000 0.422 0.922
Au6 0.000 0.460 0.348
```

The 12 most intense peaks (10 to 90 degrees two-theta), by angle:
2θ/deg, intensity
26.13, 20
30.45, 26
32.16, 29
33.06, 34
34.85, 100
35.54, 29
36.05, 22
38.33, 26
39.52, 28
39.91, 29
42.48, 15
46.18, 36